[1]
Theoretical X-ray powder pattern
Compound: Li3VF6
Radiation: Cu Kα, 1.54184 Å
Structure: a PBE+U-relaxed structure
Neutral-atom scattering factors, no anomalous dispersion.

Atomic structure:
a b c (Å): 9.7897 8.5674 5.1243
angles (deg): 90.00 90.00 90.00
Atoms (fractional coordinates):
Li1 0.1044 0.0487 0.0000
Li2 0.1257 0.6466 0.5117
Li3 0.1465 0.4516 0.0067
Li4 0.3535 0.9516 0.5067
Li5 0.3743 0.1466 0.0117
Li6 0.3956 0.5487 0.5000
Li7 0.6044 0.4513 0.0000
Li8 0.6257 0.8534 0.5117
Li9 0.6465 0.0484 0.0067
Li10 0.8535 0.5484 0.5067
Li11 0.8743 0.3534 0.0117
Li12 0.8956 0.9513 0.5000
V1 0.1281 0.2598 0.5035
V2 0.3719 0.7598 0.0035
V3 0.6281 0.2402 0.5035
V4 0.8719 0.7402 0.0035
F1 0.0088 0.4155 0.3238
F2 0.0208 0.2533 0.8340
F3 0.0239 0.0914 0.3468
F4 0.2275 0.4410 0.6515
F5 0.2403 0.2697 0.1819
F6 0.2492 0.1115 0.6890
F7 0.2508 0.6115 0.1890
F8 0.2597 0.7697 0.6819
F9 0.2725 0.9410 0.1515
F10 0.4761 0.5914 0.8468
F11 0.4792 0.7533 0.3340
F12 0.4912 0.9155 0.8238
F13 0.5088 0.0845 0.3238
F14 0.5208 0.2467 0.8340
F15 0.5239 0.4086 0.3468
F16 0.7275 0.0590 0.6515
F17 0.7403 0.2303 0.1819
F18 0.7492 0.3885 0.6890
F19 0.7508 0.8885 0.1890
F20 0.7597 0.7303 0.6819
F21 0.7725 0.5590 0.1515
F22 0.9761 0.9086 0.8468
F23 0.9792 0.7467 0.3340
F24 0.9912 0.5845 0.8238

Largest 10 diffraction maxima, in order of rising 2θ, 15° ≤ 2θ ≤ 90°:
Position (°2θ)  d [Å]  I (rel.)
20.2  4.398  53
20.7  4.284  27
20.9  4.250  100
25.2  3.540  38
32.8  2.729  40
39.7  2.270  39
40.6  2.223  71
51.6  1.770  26
52.4  1.747  39
63.5  1.466  23


[2]
Theoretical X-ray powder pattern
Compound: LiVF5
Radiation: Cu Kα, 1.54184 Å
Structure: a PBE+U-relaxed structure
Neutral-atom scattering factors, no anomalous dispersion.

Atomic structure:
a b c (Å): 5.2572 5.2572 6.7951
angles (deg): 108.00 108.00 75.32
Atoms (fractional coordinates):
Li1 0.0000 0.0000 0.0000
Li2 0.0000 0.0000 0.5000
V1 0.4451 0.5549 0.7500
V2 0.5549 0.4451 0.2500
F1 0.1583 0.8417 0.7500
F2 0.2183 0.2999 0.6391
F3 0.2999 0.2183 0.1391
F4 0.3238 0.6628 0.0594
F5 0.3372 0.6762 0.4406
F6 0.6628 0.3238 0.5594
F7 0.6762 0.3372 0.9406
F8 0.7001 0.7817 0.8609
F9 0.7817 0.7001 0.3609
F10 0.8417 0.1583 0.2500

Largest 10 diffraction maxima, in order of rising 2θ, 15° ≤ 2θ ≤ 90°:
Position (°2θ)  d [Å]  I (rel.)
18.0  4.923  100
20.0  4.449  20
23.2  3.832  55
27.8  3.212  15
29.8  3.003  44
42.6  2.121  18
44.8  2.023  15
47.5  1.916  27
50.4  1.811  21
59.4  1.556  11